Calculated powder X-ray diffraction pattern of SmGe2Se4 for Cu Kα, from the PBE geometry in Alexandria.
Neutral-atom scattering factors, no anomalous dispersion.

Principal peaks in the range 2θ from 15° to 90°, in order of rising 2θ:
- 17.43 deg, d = 5.088 Å, I = 44
- 26.37 deg, d = 3.380 Å, I = 22
- 29.02 deg, d = 3.077 Å, I = 100
- 31.11 deg, d = 2.875 Å, I = 36
- 32.78 deg, d = 2.732 Å, I = 50
- 35.28 deg, d = 2.544 Å, I = 20
- 45.82 deg, d = 1.980 Å, I = 68
- 48.21 deg, d = 1.888 Å, I = 24
- 50.54 deg, d = 1.806 Å, I = 29
- 77.34 deg, d = 1.234 Å, I = 26

a b c (Å): 6.4249 6.4249 6.4249
angles (deg): 106.07 106.07 116.51
Atoms (fractional coordinates):
Sm: 0.0000 0.0000 0.0000
Ge: 0.2500 0.7500 0.5000
Ge: 0.7500 0.2500 0.5000
Se: 0.1924 0.3215 0.5139
Se: 0.3215 0.8076 0.1291
Se: 0.6785 0.1924 0.8709
Se: 0.8076 0.6785 0.4861

Calculated powder X-ray diffraction pattern of BaMg6NbO8 for Cu Kα, from the PBE geometry in Alexandria.
Neutral-atom scattering factors, no anomalous dispersion.

Principal peaks in the range 2θ from 15° to 90°, in order of rising 2θ:
- 19.81 deg, d = 4.482 Å, I = 35
- 26.95 deg, d = 3.309 Å, I = 31
- 28.76 deg, d = 3.104 Å, I = 54
- 29.91 deg, d = 2.988 Å, I = 23
- 33.67 deg, d = 2.662 Å, I = 67
- 38.48 deg, d = 2.340 Å, I = 100
- 40.25 deg, d = 2.241 Å, I = 39
- 55.55 deg, d = 1.654 Å, I = 31
- 56.90 deg, d = 1.618 Å, I = 52
- 70.79 deg, d = 1.331 Å, I = 25

a b c (Å): 4.6793 4.6793 8.9634
angles (deg): 90.00 90.00 90.00
Atoms (fractional coordinates):
Ba: 0.0000 0.0000 0.0000
Mg: 0.0000 0.0000 0.5000
Mg: 0.0000 0.5000 0.2713
Mg: 0.0000 0.5000 0.7287
Mg: 0.5000 0.0000 0.2713
Mg: 0.5000 0.0000 0.7287
Mg: 0.5000 0.5000 0.5000
Nb: 0.5000 0.5000 0.0000
O: 0.0000 0.0000 0.2836
O: 0.0000 0.0000 0.7164
O: 0.0000 0.5000 0.0000
O: 0.0000 0.5000 0.5000
O: 0.5000 0.0000 0.0000
O: 0.5000 0.0000 0.5000
O: 0.5000 0.5000 0.2622
O: 0.5000 0.5000 0.7378

Calculated powder X-ray diffraction pattern of DyUB2O8 for Cu Kα, from the PBE geometry in Alexandria.
Neutral-atom scattering factors, no anomalous dispersion.

Principal peaks in the range 2θ from 15° to 90°, in order of rising 2θ:
- 20.76 deg, d = 4.278 Å, I = 100
- 31.10 deg, d = 2.876 Å, I = 32
- 31.74 deg, d = 2.819 Å, I = 98
- 32.59 deg, d = 2.747 Å, I = 20
- 38.78 deg, d = 2.322 Å, I = 19
- 44.39 deg, d = 2.041 Å, I = 39
- 45.67 deg, d = 1.987 Å, I = 21
- 50.52 deg, d = 1.807 Å, I = 30
- 51.53 deg, d = 1.773 Å, I = 26
- 65.83 deg, d = 1.419 Å, I = 24

a b c (Å): 6.4011 6.4011 6.4011
angles (deg): 137.46 137.46 61.73
Atoms (fractional coordinates):
Dy: 0.0000 0.0000 0.0000
U: 0.2500 0.7500 0.5000
B: 0.5000 0.5000 0.0000
B: 0.7500 0.2500 0.5000
O: 0.3059 0.6670 0.1206
O: 0.3330 0.4536 0.6389
O: 0.4398 0.0439 0.1149
O: 0.5464 0.1853 0.8794
O: 0.6751 0.5602 0.6041
O: 0.8147 0.6941 0.3611
O: 0.9290 0.3249 0.8851
O: 0.9561 0.0710 0.3959

Calculated powder X-ray diffraction pattern of Sc2ReP for Cu Kα, from the PBE geometry in Alexandria.
Neutral-atom scattering factors, no anomalous dispersion.

Principal peaks in the range 2θ from 15° to 90°, in order of rising 2θ:
- 17.81 deg, d = 4.980 Å, I = 74
- 21.99 deg, d = 4.042 Å, I = 39
- 26.43 deg, d = 3.373 Å, I = 52
- 28.44 deg, d = 3.138 Å, I = 27
- 34.64 deg, d = 2.590 Å, I = 100
- 36.90 deg, d = 2.436 Å, I = 36
- 42.65 deg, d = 2.120 Å, I = 40
- 43.37 deg, d = 2.086 Å, I = 70
- 44.85 deg, d = 2.021 Å, I = 24
- 59.42 deg, d = 1.556 Å, I = 25

a b c (Å): 4.0419 5.2924 5.2924
angles (deg): 39.59 90.00 90.00
Atoms (fractional coordinates):
Sc: 0.0000 0.0000 0.0000
Sc: 0.5000 0.2908 0.2908
Re: 0.0000 0.7184 0.7184
P: 0.5000 0.5787 0.5787

Calculated powder X-ray diffraction pattern of PrNi5B2 for Cu Kα, from the PBE geometry in Alexandria.
Neutral-atom scattering factors, no anomalous dispersion.

Principal peaks in the range 2θ from 15° to 90°, in order of rising 2θ:
- 29.36 deg, d = 3.042 Å, I = 27
- 34.14 deg, d = 2.626 Å, I = 24
- 35.48 deg, d = 2.530 Å, I = 52
- 40.21 deg, d = 2.243 Å, I = 90
- 40.49 deg, d = 2.228 Å, I = 100
- 51.28 deg, d = 1.782 Å, I = 32
- 52.49 deg, d = 1.743 Å, I = 25
- 55.73 deg, d = 1.649 Å, I = 15
- 64.97 deg, d = 1.435 Å, I = 17
- 67.30 deg, d = 1.391 Å, I = 16

a b c (Å): 5.6212 5.6212 5.6212
angles (deg): 143.87 112.77 78.77
Atoms (fractional coordinates):
Pr: 0.0000 0.0000 0.0000
Ni: 0.1480 0.3373 0.8107
Ni: 0.4734 0.6627 0.8107
Ni: 0.5000 0.0000 0.5000
Ni: 0.5266 0.3373 0.1893
Ni: 0.8520 0.6627 0.1893
B: 0.2693 0.7693 0.5000
B: 0.7307 0.2307 0.5000

Calculated powder X-ray diffraction pattern of PmDy4Ga4 for Cu Kα, from the PBE geometry in Alexandria.
Neutral-atom scattering factors, no anomalous dispersion.

Principal peaks in the range 2θ from 15° to 90°, in order of rising 2θ:
- 27.20 deg, d = 3.278 Å, I = 100
- 28.23 deg, d = 3.162 Å, I = 42
- 32.67 deg, d = 2.741 Å, I = 15
- 35.93 deg, d = 2.500 Å, I = 18
- 37.31 deg, d = 2.410 Å, I = 32
- 37.42 deg, d = 2.404 Å, I = 67
- 41.69 deg, d = 2.166 Å, I = 23
- 47.44 deg, d = 1.917 Å, I = 20
- 52.81 deg, d = 1.734 Å, I = 25
- 65.51 deg, d = 1.425 Å, I = 15

a b c (Å): 7.4693 7.4693 7.4693
angles (deg): 95.97 95.97 142.36
Atoms (fractional coordinates):
Pm: 0.0000 0.0000 0.0000
Dy: 0.1290 0.6427 0.7717
Dy: 0.3573 0.1290 0.4863
Dy: 0.6427 0.8710 0.5137
Dy: 0.8710 0.3573 0.2283
Ga: 0.3245 0.4262 0.7506
Ga: 0.4262 0.6755 0.1017
Ga: 0.5738 0.3245 0.8983
Ga: 0.6755 0.5738 0.2494

Calculated powder X-ray diffraction pattern of NaAl4Se7 for Cu Kα, from the PBE geometry in Alexandria.
Neutral-atom scattering factors, no anomalous dispersion.

Principal peaks in the range 2θ from 15° to 90°, in order of rising 2θ:
- 26.18 deg, d = 3.404 Å, I = 59
- 28.41 deg, d = 3.142 Å, I = 64
- 29.85 deg, d = 2.993 Å, I = 100
- 30.08 deg, d = 2.971 Å, I = 58
- 39.02 deg, d = 2.308 Å, I = 32
- 46.05 deg, d = 1.971 Å, I = 22
- 46.50 deg, d = 1.953 Å, I = 35
- 51.22 deg, d = 1.784 Å, I = 38
- 51.35 deg, d = 1.779 Å, I = 19
- 55.40 deg, d = 1.659 Å, I = 31

a b c (Å): 15.7704 6.7440 6.2834
angles (deg): 90.00 90.00 90.00
Atoms (fractional coordinates):
Na: 0.0000 0.9997 0.0000
Na: 0.5000 0.0003 0.5000
Al: 0.1224 0.3310 0.5658
Al: 0.2453 0.8159 0.5438
Al: 0.2547 0.1841 0.0438
Al: 0.3776 0.6690 0.0658
Al: 0.6224 0.6690 0.0658
Al: 0.7453 0.1841 0.0438
Al: 0.7547 0.8159 0.5438
Al: 0.8776 0.3310 0.5658
Se: 0.0000 0.1375 0.4674
Se: 0.1172 0.6616 0.4258
Se: 0.1237 0.3322 0.9480
Se: 0.2471 0.8345 0.9375
Se: 0.2529 0.1655 0.4375
Se: 0.3763 0.6678 0.4480
Se: 0.3828 0.3384 0.9258
Se: 0.5000 0.8625 0.9674
Se: 0.6172 0.3384 0.9258
Se: 0.6237 0.6678 0.4480
Se: 0.7471 0.1655 0.4375
Se: 0.7529 0.8345 0.9375
Se: 0.8763 0.3322 0.9480
Se: 0.8828 0.6616 0.4258